The following is a computed powder XRD pattern of LiBiP2O7. It was derived from a DFT-relaxed cell (GGA-PBE, the Materials Project), using Cu Kα.

Most intense lines, 5° ≤ 2θ ≤ 70°, by angle:
d (Å)  Rel. int.  hkl
6.637  88  0 1 0
5.619  100  1 0 1
4.407  88  1 1 0
4.122  56  1 -1 1
3.581  47  1 0 -1
3.137  70  1 1 2
3.059  81  0 0 2
2.979  42  2 0 0
2.914  57  1 -2 0
2.883  53  1 2 0

Structure:
Unit cell a=6.578 b=6.677 c=6.796 alpha=83.76 beta=64.94 gamma=87.99
Space group P-1 (No. 2)
Inequivalent atoms, fractional coordinates:
Li  0.230  0.349  0.422 [2 per cell]
Bi  0.192  0.856  0.748 [2 per cell]
P  0.261  0.854  0.265 [2 per cell]
P  0.315  0.358  0.858 [2 per cell]
O  0.121  0.352  0.087 [2 per cell]
O  0.135  0.690  0.455 [2 per cell]
O  0.139  0.922  0.119 [2 per cell]
O  0.279  0.245  0.693 [2 per cell]
O  0.315  0.029  0.365 [2 per cell]
O  0.407  0.574  0.766 [2 per cell]
O  0.485  0.759  0.096 [2 per cell]